No. 1
This entry pairs a crystal structure of K2ZnAgO2 with its simulated X-ray powder pattern. Radiation: Cu Kα (λ = 1.5418 Å). Structure: the PBE geometry in Alexandria.
Intensities are scaled so that the largest is 100.

Top 6 peaks for 2θ from 10° to 90°, sorted by position:
| (hkl) | two_theta | I/Imax |
| --- | --- | --- |
| 1 1 0 | 12.65 | 62 |
| 2 0 0 | 14.10 | 93 |
| 3 1 0 | 23.73 | 100 |
| 3 1 1 | 28.94 | 51 |
| 1 3 0 | 32.68 | 89 |
| 1 1 2 | 35.48 | 79 |

```
data_K2ZnAgO2
_symmetry_space_group_name_H-M 'C m c 21'
_symmetry_Int_Tables_number 36
_cell_length_a 12.562
_cell_length_b 8.424
_cell_length_c 5.428
_cell_angle_alpha 90.00
_cell_angle_beta 90.00
_cell_angle_gamma 90.00
loop_
_symmetry_equiv_pos_as_xyz
'x,y,z'
'-x,-y,z+1/2'
'-x,y,z'
'x,-y,z+1/2'
'x+1/2,y+1/2,z'
'-x+1/2,-y+1/2,z+1/2'
'-x+1/2,y+1/2,z'
'x+1/2,-y+1/2,z+1/2'
loop_
_atom_site_label
_atom_site_fract_x
_atom_site_fract_y
_atom_site_fract_z
K1 0.187 0.142 0.000
Zn1 0.000 0.200 0.500
Ag1 0.000 0.498 0.247
O1 0.141 0.176 0.500
```

=====

No. 2
This entry pairs a crystal structure of KAg2Os with its simulated X-ray powder pattern. Radiation: Cu Kα (λ = 1.5418 Å). Structure: the PBE geometry in Alexandria.
Intensities are scaled so that the largest is 100.

Top 6 peaks for 2θ from 10° to 90°, sorted by position:
| (hkl) | two_theta | I/Imax |
| --- | --- | --- |
| 0 0 1 | 16.24 | 30 |
| 0 1 0 | 16.90 | 25 |
| 0 0 2 | 32.82 | 35 |
| 0 2 0 | 34.18 | 46 |
| 0 1 2 | 37.14 | 42 |
| 1 1 1 | 41.08 | 100 |

```
data_KAg2Os
_symmetry_space_group_name_H-M 'P m m 2'
_symmetry_Int_Tables_number 25
_cell_length_a 2.700
_cell_length_b 5.247
_cell_length_c 5.457
_cell_angle_alpha 90.00
_cell_angle_beta 90.00
_cell_angle_gamma 90.00
loop_
_symmetry_equiv_pos_as_xyz
'x,y,z'
'-x,-y,z'
'-x,y,z'
'x,-y,z'
loop_
_atom_site_label
_atom_site_fract_x
_atom_site_fract_y
_atom_site_fract_z
K1 0.000 0.000 0.000
Ag1 0.500 0.000 0.513
Ag2 0.500 0.500 0.130
Os1 0.000 0.500 0.594
```

=====

No. 3
This entry pairs a crystal structure of K4AgP2 with its simulated X-ray powder pattern. Radiation: Cu Kα (λ = 1.5418 Å). Structure: the PBE geometry in Alexandria.
Intensities are scaled so that the largest is 100.

Top 6 peaks for 2θ from 10° to 90°, sorted by position:
| (hkl) | two_theta | I/Imax |
| --- | --- | --- |
| 1 0 1 | 18.60 | 49 |
| 0 1 5 | 24.51 | 67 |
| 1 1 0 | 31.99 | 100 |
| 1 0 10 | 37.68 | 39 |
| 2 0 5 | 40.70 | 28 |
| 0 2 10 | 50.24 | 21 |

```
data_K4AgP2
_symmetry_space_group_name_H-M 'R -3 m'
_symmetry_Int_Tables_number 166
_symmetry_space_group_name_Hall '-R 3 2"'
_cell_length_a 5.5941
_cell_length_b 5.5941
_cell_length_c 27.4349
_cell_angle_alpha 90.00
_cell_angle_beta 90.00
_cell_angle_gamma 120.00
loop_
_atom_site_label
_atom_site_fract_x
_atom_site_fract_y
_atom_site_fract_z
K1 0.0000 0.0000 0.1163
K2 0.0000 0.0000 0.2929
Ag1 0.0000 0.0000 0.5000
P1 0.0000 0.0000 0.4133
```

=====

No. 4
This entry pairs a crystal structure of KAg6P2 with its simulated X-ray powder pattern. Radiation: Cu Kα (λ = 1.5418 Å). Structure: the PBE geometry in Alexandria.
Intensities are scaled so that the largest is 100.

Top 6 peaks for 2θ from 10° to 90°, sorted by position:
| (hkl) | two_theta | I/Imax |
| --- | --- | --- |
| 0 0 1 | 10.01 | 55 |
| 1 1 2 | 35.09 | 100 |
| 2 0 0 | 40.69 | 43 |
| 1 1 3 | 42.07 | 40 |
| 2 2 0 | 58.91 | 14 |
| 3 1 2 | 70.45 | 24 |

```
data_KAg6P2
_symmetry_space_group_name_H-M 'P 4/m m m'
_symmetry_Int_Tables_number 123
_symmetry_space_group_name_Hall '-P 4 2'
_cell_length_a 4.434
_cell_length_b 4.434
_cell_length_c 8.838
_cell_angle_alpha 90.00
_cell_angle_beta 90.00
_cell_angle_gamma 90.00
loop_
_atom_site_label
_atom_site_fract_x
_atom_site_fract_y
_atom_site_fract_z
K1 0.000 0.000 0.000
Ag1 0.000 0.000 0.500
Ag2 0.000 0.500 0.284
Ag3 0.500 0.500 0.500
P1 0.500 0.500 0.128
```

=====

No. 5
This entry pairs a crystal structure of K5AgP2 with its simulated X-ray powder pattern. Radiation: Cu Kα (λ = 1.5418 Å). Structure: the PBE geometry in Alexandria.
Intensities are scaled so that the largest is 100.

Top 6 peaks for 2θ from 10° to 90°, sorted by position:
| (hkl) | two_theta | I/Imax |
| --- | --- | --- |
| 1 0 1 | 18.56 | 31 |
| 1 0 4 | 26.04 | 42 |
| 1 1 0 | 31.35 | 100 |
| 1 0 6 | 33.65 | 21 |
| 0 0 8 | 37.88 | 28 |
| 1 1 8 | 49.99 | 24 |

```
data_K5AgP2
_symmetry_space_group_name_H-M 'P 63/m m c'
_symmetry_Int_Tables_number 194
_symmetry_space_group_name_Hall '-P 6c 2c'
_cell_length_a 5.7059
_cell_length_b 5.7059
_cell_length_c 18.9696
_cell_angle_alpha 90.00
_cell_angle_beta 90.00
_cell_angle_gamma 120.00
loop_
_atom_site_label
_atom_site_fract_x
_atom_site_fract_y
_atom_site_fract_z
K1 0.0000 0.0000 0.1405
K2 0.3333 0.6667 0.0492
K3 0.3333 0.6667 0.2500
Ag1 0.3333 0.6667 0.7500
P1 0.3333 0.6667 0.6216
```

=====

No. 6
This entry pairs a crystal structure of KAgP2Pt4 with its simulated X-ray powder pattern. Radiation: Cu Kα (λ = 1.5418 Å). Structure: the PBE geometry in Alexandria.
Intensities are scaled so that the largest is 100.

Top 6 peaks for 2θ from 10° to 90°, sorted by position:
| (hkl) | two_theta | I/Imax |
| --- | --- | --- |
| 0 0 2 | 17.19 | 75 |
| 1 1 0 | 31.42 | 44 |
| 1 1 2 | 36.03 | 100 |
| 1 1 3 | 41.15 | 86 |
| 2 0 0 | 45.02 | 52 |
| 1 1 5 | 54.95 | 34 |

```
data_KAgP2Pt4
_symmetry_space_group_name_H-M 'P 4/m m m'
_symmetry_Int_Tables_number 123
_symmetry_space_group_name_Hall '-P 4 2'
_cell_length_a 4.027
_cell_length_b 4.027
_cell_length_c 10.319
_cell_angle_alpha 90.00
_cell_angle_beta 90.00
_cell_angle_gamma 90.00
loop_
_atom_site_label
_atom_site_fract_x
_atom_site_fract_y
_atom_site_fract_z
K1 0.000 0.000 0.000
Ag1 0.000 0.000 0.500
P1 0.500 0.500 0.195
Pt1 0.000 0.500 0.304
```

=====

No. 7
This entry pairs a crystal structure of KAg2P2S7 with its simulated X-ray powder pattern. Radiation: Cu Kα (λ = 1.5418 Å). Structure: the PBE geometry in Alexandria.
Intensities are scaled so that the largest is 100.

Top 6 peaks for 2θ from 10° to 90°, sorted by position:
| (hkl) | two_theta | I/Imax |
| --- | --- | --- |
| 0 0 6 | 17.02 | 100 |
| 1 0 4 | 19.49 | 78 |
| 1 1 0 | 27.57 | 52 |
| 0 2 4 | 33.98 | 39 |
| 0 0 12 | 34.42 | 27 |
| 3 0 0 | 48.74 | 26 |

```
data_KAg2P2S7
_symmetry_space_group_name_H-M 'R 3 2'
_symmetry_Int_Tables_number 155
_symmetry_space_group_name_Hall 'R 3 2"'
_cell_length_a 6.4719
_cell_length_b 6.4719
_cell_length_c 31.2661
_cell_angle_alpha 90.00
_cell_angle_beta 90.00
_cell_angle_gamma 120.00
loop_
_atom_site_label
_atom_site_fract_x
_atom_site_fract_y
_atom_site_fract_z
K1 0.0000 0.0000 0.0000
Ag1 0.0000 0.0000 0.2461
P1 0.0000 0.0000 0.4279
S1 0.0000 0.0000 0.5000
S2 0.0094 0.3866 0.2523
```

=====

No. 8
This entry pairs a crystal structure of K3Pa3AgS8 with its simulated X-ray powder pattern. Radiation: Cu Kα (λ = 1.5418 Å). Structure: the PBE geometry in Alexandria.
Intensities are scaled so that the largest is 100.

Top 6 peaks for 2θ from 10° to 90°, sorted by position:
| (hkl) | two_theta | I/Imax |
| --- | --- | --- |
| 0 0 3 | 11.89 | 100 |
| 0 2 1 | 25.85 | 37 |
| 2 0 2 | 26.77 | 35 |
| 0 2 4 | 30.21 | 84 |
| 2 0 8 | 41.42 | 31 |
| 2 2 0 | 45.01 | 28 |

```
data_K3Pa3AgS8
_symmetry_space_group_name_H-M 'R -3 m'
_symmetry_Int_Tables_number 166
_symmetry_space_group_name_Hall '-R 3 2"'
_cell_length_a 8.0567
_cell_length_b 8.0567
_cell_length_c 22.3367
_cell_angle_alpha 90.00
_cell_angle_beta 90.00
_cell_angle_gamma 120.00
loop_
_atom_site_label
_atom_site_fract_x
_atom_site_fract_y
_atom_site_fract_z
K1 0.0000 0.5000 0.0000
Pa1 0.0000 0.5000 0.5000
Ag1 0.0000 0.0000 0.5000
S1 0.0000 0.0000 0.2348
S2 0.0175 0.5088 0.7667
```

=====

No. 9
This entry pairs a crystal structure of K2PaAg2Se4 with its simulated X-ray powder pattern. Radiation: Cu Kα (λ = 1.5418 Å). Structure: the PBE geometry in Alexandria.
Intensities are scaled so that the largest is 100.

Top 6 peaks for 2θ from 10° to 90°, sorted by position:
| (hkl) | two_theta | I/Imax |
| --- | --- | --- |
| 0 0 1 | 11.75 | 100 |
| 3 1 -1 | 27.64 | 22 |
| 1 1 -2 | 30.65 | 24 |
| 3 1 -2 | 32.26 | 43 |
| 3 1 1 | 32.78 | 27 |
| 3 1 2 | 40.94 | 25 |

```
data_K2PaAg2Se4
_symmetry_space_group_name_H-M 'C 1 2/m 1'
_symmetry_Int_Tables_number 12
_cell_length_a 15.537
_cell_length_b 4.265
_cell_length_c 8.035
_cell_angle_alpha 90.00
_cell_angle_beta 110.33
_cell_angle_gamma 90.00
loop_
_symmetry_equiv_pos_as_xyz
'x,y,z'
'-x,-y,-z'
'-x,y,-z'
'x,-y,z'
'x+1/2,y+1/2,z'
'-x+1/2,-y+1/2,-z'
'-x+1/2,y+1/2,-z'
'x+1/2,-y+1/2,z'
loop_
_atom_site_label
_atom_site_fract_x
_atom_site_fract_y
_atom_site_fract_z
K1 0.136 0.000 0.074
Pa1 0.000 0.000 0.500
Ag1 0.181 0.500 0.485
Se1 0.009 0.500 0.259
Se2 0.195 0.000 0.701
```

=====

No. 10
This entry pairs a crystal structure of KAg3Pb3 with its simulated X-ray powder pattern. Radiation: Cu Kα (λ = 1.5418 Å). Structure: the PBE geometry in Alexandria.
Intensities are scaled so that the largest is 100.

Top 6 peaks for 2θ from 10° to 90°, sorted by position:
| (hkl) | two_theta | I/Imax |
| --- | --- | --- |
| 1 1 0 | 15.71 | 100 |
| 2 0 0 | 22.29 | 39 |
| 2 1 1 | 27.39 | 94 |
| 2 2 2 | 39.12 | 79 |
| 3 2 1 | 42.40 | 58 |
| 4 0 0 | 45.48 | 46 |

```
data_KAg3Pb3
_symmetry_space_group_name_H-M 'P m -3 n'
_symmetry_Int_Tables_number 223
_symmetry_space_group_name_Hall '-P 4n 2 3'
_cell_length_a 7.977
_cell_length_b 7.977
_cell_length_c 7.977
_cell_angle_alpha 90.00
_cell_angle_beta 90.00
_cell_angle_gamma 90.00
loop_
_atom_site_label
_atom_site_fract_x
_atom_site_fract_y
_atom_site_fract_z
K1 0.000 0.000 0.000
Ag1 0.000 0.250 0.500
Pb1 0.000 0.500 0.250
```

=====

No. 11
This entry pairs a crystal structure of KAg4Pb12 with its simulated X-ray powder pattern. Radiation: Cu Kα (λ = 1.5418 Å). Structure: the PBE geometry in Alexandria.
Intensities are scaled so that the largest is 100.

Top 6 peaks for 2θ from 10° to 90°, sorted by position:
| (hkl) | two_theta | I/Imax |
| --- | --- | --- |
| 3 0 1 | 27.61 | 100 |
| 3 1 2 | 32.80 | 31 |
| 4 0 2 | 39.44 | 25 |
| 4 2 2 | 43.39 | 18 |
| 4 3 1 | 45.26 | 31 |
| 6 1 3 | 61.56 | 19 |

```
data_KAg4Pb12
_symmetry_space_group_name_H-M 'I m -3'
_symmetry_Int_Tables_number 204
_symmetry_space_group_name_Hall '-I 2 2 3'
_cell_length_a 10.217
_cell_length_b 10.217
_cell_length_c 10.217
_cell_angle_alpha 90.00
_cell_angle_beta 90.00
_cell_angle_gamma 90.00
loop_
_atom_site_label
_atom_site_fract_x
_atom_site_fract_y
_atom_site_fract_z
K1 0.000 0.000 0.000
Ag1 0.250 0.250 0.250
Pb1 0.000 0.348 0.160
```

=====

No. 12
This entry pairs a crystal structure of K3AgPb4 with its simulated X-ray powder pattern. Radiation: Cu Kα (λ = 1.5418 Å). Structure: the PBE geometry in Alexandria.
Intensities are scaled so that the largest is 100.

Top 6 peaks for 2θ from 10° to 90°, sorted by position:
| (hkl) | two_theta | I/Imax |
| --- | --- | --- |
| 0 2 0 | 13.74 | 65 |
| 1 1 0 | 14.51 | 100 |
| 2 0 1 | 28.78 | 58 |
| 2 2 1 | 32.03 | 48 |
| 1 4 1 | 33.27 | 41 |
| 2 4 0 | 38.12 | 31 |

```
data_K3AgPb4
_symmetry_space_group_name_H-M 'P m m n'
_symmetry_Int_Tables_number 59
_cell_length_a 6.929
_cell_length_b 12.886
_cell_length_c 6.949
_cell_angle_alpha 90.00
_cell_angle_beta 90.00
_cell_angle_gamma 90.00
loop_
_symmetry_equiv_pos_as_xyz
'x,y,z'
'-x,-y,-z'
'-x+1/2,-y+1/2,z'
'x+1/2,y+1/2,-z'
'x+1/2,-y,-z'
'-x+1/2,y,z'
'-x,y+1/2,-z'
'x,-y+1/2,z'
loop_
_atom_site_label
_atom_site_fract_x
_atom_site_fract_y
_atom_site_fract_z
K1 0.250 0.001 0.172
K2 0.250 0.750 0.547
Ag1 0.250 0.250 0.316
Pb1 0.006 0.250 0.963
Pb2 0.250 0.122 0.670
```

=====

No. 13
This entry pairs a crystal structure of KAg3Pd2 with its simulated X-ray powder pattern. Radiation: Cu Kα (λ = 1.5418 Å). Structure: the PBE geometry in Alexandria.
Intensities are scaled so that the largest is 100.

Top 6 peaks for 2θ from 10° to 90°, sorted by position:
| (hkl) | two_theta | I/Imax |
| --- | --- | --- |
| 1 1 0 | 12.55 | 55 |
| 2 0 0 | 16.22 | 53 |
| 4 0 0 | 32.78 | 26 |
| 0 2 2 | 38.20 | 37 |
| 2 2 2 | 41.76 | 100 |
| 2 4 0 | 42.47 | 58 |

```
data_KAg3Pd2
_symmetry_space_group_name_H-M 'C m c m'
_symmetry_Int_Tables_number 63
_symmetry_space_group_name_Hall '-C 2c 2'
_cell_length_a 10.927
_cell_length_b 9.240
_cell_length_c 5.480
_cell_angle_alpha 90.00
_cell_angle_beta 90.00
_cell_angle_gamma 90.00
loop_
_atom_site_label
_atom_site_fract_x
_atom_site_fract_y
_atom_site_fract_z
K1 0.000 0.169 0.250
Ag1 0.000 0.439 0.750
Ag2 0.204 0.240 0.750
Pd1 0.216 0.500 0.000
```